This entry pairs a crystal structure of Y6Al2Hg with its computed PXRD pattern. Radiation: Cu Kα X-rays. Structure: a DFT-relaxed cell (PBE, Alexandria).
Lines closer than 0.1° are merged.

Main lines, sorted by position (10° ≤ 2θ ≤ 90°):
2θ 12.8, 6.918 Å, intensity 28.7
2θ 28.7, 3.114 Å, intensity 28.0
2θ 30.9, 2.893 Å, intensity 100.0
2θ 32.6, 2.747 Å, intensity 20.4
2θ 33.7, 2.656 Å, intensity 47.9
2θ 34.0, 2.638 Å, intensity 21.6
2θ 36.4, 2.465 Å, intensity 40.3
2θ 57.4, 1.605 Å, intensity 25.3

Atomic structure:
```
Y6Al2Hg
1.0
-4.8534 4.9311 5.2765
4.8534 -4.9311 5.2765
4.8534 4.9311 -5.2765
Y Al Hg
12 4 2
Cartesian
4.8534 -2.8725 3.4102
2.9279 0.0000 2.6159
6.7788 0.0000 2.6159
3.0975 2.6881 0.0000
6.6092 2.6881 0.0000
0.0000 2.0586 1.8662
4.8534 2.8725 3.4102
-1.7559 2.2430 5.2765
1.7559 2.2430 5.2765
-1.9255 4.9311 2.6605
1.9255 4.9311 2.6605
0.0000 7.8036 1.8662
1.3774 0.0000 0.0000
8.3293 0.0000 0.0000
0.0000 0.0000 3.9819
0.0000 0.0000 6.5710
4.8534 0.0000 0.0000
0.0000 4.9311 0.0000
```

=====

This entry pairs a crystal structure of YAlHg with its computed PXRD pattern. Radiation: Cu Kα X-rays. Structure: a DFT-relaxed cell (PBE, Alexandria).
Lines closer than 0.1° are merged.

Main lines, sorted by position (10° ≤ 2θ ≤ 90°):
2θ 12.4, 7.134 Å, intensity 51.6
2θ 28.9, 3.093 Å, intensity 30.1
2θ 34.0, 2.637 Å, intensity 100.0
2θ 37.8, 2.378 Å, intensity 17.3
2θ 39.2, 2.297 Å, intensity 17.4
2θ 41.3, 2.187 Å, intensity 21.4
2θ 42.6, 2.120 Å, intensity 13.2
2θ 67.8, 1.383 Å, intensity 18.5

Atomic structure:
```
YAlHg
1.0
4.3742 0.0000 0.0000
0.0000 14.2686 0.0000
-0.0001 0.0000 4.5942
Y Al Hg
4 4 4
Cartesian
0.0000 2.2427 0.0000
0.0000 12.0259 0.0000
2.1871 4.8916 0.0000
2.1871 9.3770 0.0000
2.1826 2.7241 2.2964
2.1826 11.5445 2.2964
4.3697 4.4102 2.2964
4.3697 9.8584 2.2964
0.0047 7.1343 0.0232
0.0142 0.0000 2.3075
2.1918 0.0000 0.0232
2.2013 7.1343 2.3075
```

=====

This entry pairs a crystal structure of AlZnHg2 with its computed PXRD pattern. Radiation: Cu Kα X-rays. Structure: a DFT-relaxed cell (PBE, Alexandria).
Lines closer than 0.1° are merged.

Main lines, sorted by position (10° ≤ 2θ ≤ 90°):
2θ 22.9, 3.882 Å, intensity 52.2
2θ 26.3, 3.395 Å, intensity 37.6
2θ 28.3, 3.149 Å, intensity 31.5
2θ 35.1, 2.556 Å, intensity 100.0
2θ 35.7, 2.518 Å, intensity 48.1
2θ 36.7, 2.446 Å, intensity 88.8
2θ 42.1, 2.144 Å, intensity 30.2
2θ 46.8, 1.941 Å, intensity 22.5

Atomic structure:
```
AlZnHg2
1.0
3.4388 0.0000 0.0000
0.0000 3.8825 0.0000
-1.0189 0.0000 6.2979
Al Zn Hg
1 1 2
Cartesian
0.0000 0.0000 0.0000
-0.5094 0.0000 3.1489
0.9191 1.9412 4.7113
1.5008 1.9412 1.5866
```

=====

This entry pairs a crystal structure of AlZn4Hg with its computed PXRD pattern. Radiation: Cu Kα X-rays. Structure: a DFT-relaxed cell (PBE, Alexandria).
Lines closer than 0.1° are merged.

Main lines, sorted by position (10° ≤ 2θ ≤ 90°):
2θ 20.6, 4.307 Å, intensity 24.2
2θ 23.9, 3.730 Å, intensity 26.6
2θ 34.0, 2.637 Å, intensity 37.8
2θ 40.1, 2.249 Å, intensity 100.0
2θ 42.0, 2.153 Å, intensity 30.4
2θ 60.8, 1.523 Å, intensity 14.4
2θ 65.0, 1.436 Å, intensity 31.6
2θ 71.5, 1.319 Å, intensity 21.3

Atomic structure:
```
AlZn4Hg
1.0
0.0000 3.7299 3.7299
3.7299 0.0000 3.7299
3.7299 3.7299 0.0000
Al Zn Hg
1 4 1
Cartesian
0.0000 0.0000 0.0000
2.7941 2.7941 2.7941
4.6657 4.6657 2.7941
4.6657 2.7941 4.6657
2.7941 4.6657 4.6657
5.5948 5.5948 5.5948
```

=====

This entry pairs a crystal structure of Zr12AlHg3 with its computed PXRD pattern. Radiation: Cu Kα X-rays. Structure: a DFT-relaxed cell (PBE, Alexandria).
Lines closer than 0.1° are merged.

Main lines, sorted by position (10° ≤ 2θ ≤ 90°):
2θ 35.1, 2.558 Å, intensity 100.0
2θ 40.6, 2.220 Å, intensity 16.4
2θ 40.8, 2.212 Å, intensity 32.9
2θ 58.9, 1.567 Å, intensity 21.7
2θ 59.1, 1.564 Å, intensity 10.9
2θ 70.4, 1.338 Å, intensity 12.5
2θ 70.6, 1.335 Å, intensity 25.4
2θ 74.1, 1.279 Å, intensity 10.9

Atomic structure:
```
Zr12AlHg3
1.0
4.4246 0.0000 0.0000
0.0000 4.4246 0.0000
0.0000 0.0000 17.7620
Zr Al Hg
12 1 3
Cartesian
0.0000 0.0000 0.0000
0.0000 0.0000 4.4187
0.0000 0.0000 8.8810
0.0000 0.0000 13.3433
0.0000 2.2123 2.1443
0.0000 2.2123 6.6408
0.0000 2.2123 11.1212
0.0000 2.2123 15.6177
2.2123 0.0000 2.1443
2.2123 0.0000 6.6408
2.2123 0.0000 11.1212
2.2123 0.0000 15.6177
2.2123 2.2123 0.0000
2.2123 2.2123 4.4086
2.2123 2.2123 8.8810
2.2123 2.2123 13.3534
```

=====

This entry pairs a crystal structure of Ho5Al6 with its computed PXRD pattern. Radiation: Cu Kα X-rays. Structure: a DFT-relaxed cell (PBE, Alexandria).
Lines closer than 0.1° are merged.

Main lines, sorted by position (10° ≤ 2θ ≤ 90°):
2θ 14.0, 6.305 Å, intensity 19.6
2θ 25.4, 3.513 Å, intensity 59.2
2θ 25.6, 3.484 Å, intensity 33.9
2θ 32.7, 2.736 Å, intensity 30.2
2θ 35.9, 2.501 Å, intensity 29.6
2θ 36.3, 2.474 Å, intensity 100.0
2θ 36.4, 2.467 Å, intensity 20.1
2θ 64.8, 1.439 Å, intensity 19.8

Atomic structure:
```
Ho5Al6
1.0
-2.5010 3.4843 7.4011
2.5010 -3.4843 7.4011
2.5010 3.4843 -7.4011
Ho Al
5 6
Cartesian
0.0000 0.0000 0.0000
2.5010 0.0000 2.3382
0.0000 0.0000 4.6066
0.0000 0.0000 10.1956
0.0000 3.4843 5.0629
2.5010 -1.4593 5.2432
2.5010 2.1170 0.0000
0.0000 2.0250 2.1579
2.5010 1.4593 5.2432
0.0000 1.3673 7.4011
0.0000 4.9436 2.1579
```